Starting from a structure optimized by DFT (GGA-PBE), the XRD peak list of Zn2CdF8 was calculated for λ = 1.5418 Å (Cu Kα).
Intensities are scaled so that the largest is 100.

Largest 6 diffraction maxima, sorted by position, 10 to 90 degrees two-theta:
2theta, I (rel.), h k l
18.54, 64.3, 1 0 1
28.97, 100.0, 1 1 2
38.44, 24.1, 2 1 1
47.91, 18.4, 2 2 0
48.37, 43.5, 2 0 4
56.97, 27.2, 3 1 2

Cell and atoms:
```
data_Zn2CdF8
_symmetry_space_group_name_H-M 'I 4 2 2'
_symmetry_Int_Tables_number 97
_symmetry_space_group_name_Hall 'I 4 2'
_cell_length_a 5.370
_cell_length_b 5.370
_cell_length_c 10.550
_cell_angle_alpha 90.00
_cell_angle_beta 90.00
_cell_angle_gamma 90.00
loop_
_atom_site_label
_atom_site_type_symbol
_atom_site_fract_x
_atom_site_fract_y
_atom_site_fract_z
Zn1 Zn 0.000 0.500 0.250
Cd1 Cd 0.000 0.000 0.000
F1 F 0.174 0.309 0.870
```